1.
Calculated powder XRD pattern of Sm12Ho3Pu for CuKα, from a structure optimized by DFT (GGA-PBE).
Kinematic intensities with the Lorentz-polarization factor, no thermal factor.

Largest 8 diffraction maxima, sorted by position, 10° ≤ 2θ ≤ 80°:
d = 5.084 Å, intensity 0.6; d = 3.595 Å, intensity 0.6; d = 2.935 Å, intensity 100.0; d = 2.542 Å, intensity 50.7; d = 1.797 Å, intensity 36.2; d = 1.533 Å, intensity 43.1; d = 1.468 Å, intensity 12.4; d = 1.271 Å, intensity 5.8

Structure:
```
Sm12Ho3Pu
1.0
5.0854 0.0000 0.0000
0.0000 5.0854 0.0000
0.0000 0.0000 20.3201
Sm Ho Pu
12 3 1
Direct
0.0000 0.0000 0.0000
0.0000 0.0000 0.2495
0.0000 0.0000 0.5000
0.0000 0.0000 0.7505
0.0000 0.5000 0.1225
0.0000 0.5000 0.3741
0.0000 0.5000 0.6259
0.0000 0.5000 0.8775
0.5000 0.0000 0.1225
0.5000 0.0000 0.3741
0.5000 0.0000 0.6259
0.5000 0.0000 0.8775
0.5000 0.5000 0.2490
0.5000 0.5000 0.5000
0.5000 0.5000 0.7510
0.5000 0.5000 0.0000
```


2.
Calculated powder XRD pattern of Sm5Ho12Pu for CuKα, from a structure optimized by DFT (GGA-PBE).
Kinematic intensities with the Lorentz-polarization factor, no thermal factor.

Largest 7 diffraction maxima, sorted by position, 10° ≤ 2θ ≤ 80°:
d = 2.894 Å, intensity 100.0; d = 2.506 Å, intensity 50.7; d = 1.772 Å, intensity 36.0; d = 1.512 Å, intensity 7.3; d = 1.511 Å, intensity 35.7; d = 1.447 Å, intensity 12.3; d = 1.253 Å, intensity 5.7

Structure:
```
Sm5Ho12Pu
1.0
9.2036 -5.3144 0.0000
9.2036 5.3144 0.0000
-2.0374 0.0000 5.7916
Sm Ho Pu
5 12 1
Direct
0.0000 0.0000 0.0000
0.1671 0.1671 0.5015
0.3350 0.3350 0.0077
0.6650 0.6650 0.9923
0.8329 0.8329 0.4985
0.9996 0.3343 0.0014
0.0004 0.6657 0.9986
0.1691 0.5010 0.5010
0.1708 0.8292 0.5000
0.3343 0.9996 0.0014
0.3355 0.6645 0.0000
0.4990 0.8309 0.4990
0.5010 0.1691 0.5010
0.6645 0.3355 0.0000
0.6657 0.0004 0.9986
0.8292 0.1708 0.5000
0.8309 0.4990 0.4990
0.5000 0.5000 0.5000
```


What is the formula in the first record? Sm12Ho3Pu


Number 2 is which compound? Sm5Ho12Pu